Starting from a cell relaxed with PBE, the powder diffractogram of DyAl4Ag2 was computed for Cu Kα, 1.54184 Å.

Principal peaks in the range 15° ≤ 2θ ≤ 90°, low angle first:
20.81°, 4.268 Å, I = 47; 22.40°, 3.969 Å, I = 64; 27.10°, 3.290 Å, I = 57; 31.26°, 2.861 Å, I = 100; 34.42°, 2.606 Å, I = 61; 35.44°, 2.533 Å, I = 99; 38.64°, 2.330 Å, I = 57; 39.07°, 2.305 Å, I = 72; 39.57°, 2.278 Å, I = 70; 50.87°, 1.795 Å, I = 47

Structure:
```
data_DyAl4Ag2
_chemical_formula_sum 'Dy2 Al8 Ag4'
_symmetry_space_group_name_H-M 'C 1 2/m 1'
_symmetry_Int_Tables_number 12
_symmetry_space_group_name_Hall '-C 2y'
_cell_length_a 9.3566
_cell_length_b 6.5801
_cell_length_c 5.1397
_cell_angle_alpha 90.00
_cell_angle_beta 121.97
_cell_angle_gamma 90.00
loop_
_atom_site_label
_atom_site_fract_x
_atom_site_fract_y
_atom_site_fract_z
_atom_site_occupancy
Dy1 0.0000 0.0000 0.0000 1
Al1 0.1872 0.2037 0.7064 1
Ag1 0.0592 0.5000 0.3033 1
```